# U2Tc
Calculated powder diffractogram, Cu Kα (weighted mean of Kα1 and Kα2). Input: the GGA-PBE geometry in Alexandria.

Main lines, by angle (10 to 90 degrees two-theta):
22.17 deg, I = 19, (1 0 0)
29.83 deg, I = 7, (0 0 1)
37.48 deg, I = 100, (1 0 1)
38.91 deg, I = 91, (1 1 0)
49.78 deg, I = 11, (1 1 1)
55.13 deg, I = 33, (0 2 1)
66.67 deg, I = 22, (0 1 2)
69.52 deg, I = 34, (2 1 1)
70.45 deg, I = 17, (3 0 0)
78.34 deg, I = 3, (3 0 1)
79.97 deg, I = 14, (2 0 2)
83.53 deg, I = 11, (2 2 0)

Structural model:
Cell lengths 4.6298, 4.6298, 2.9950 Å; angles 90.00, 90.00, 120.00 degrees
Space group P-3m1 (No. 164)
One atom of each set of equivalent atoms:
U 0.3333 0.6667 0.1407
Tc 0.0000 0.0000 0.5000